Diffraction record for CrCo2Ir. The X-ray powder pattern is theoretical, not measured: it uses a crystal structure in Alexandria, relaxed with PBE and λ = 1.5418 Å (Cu Kα).
Neutral-atom scattering factors, no anomalous dispersion.

Cell and atoms:
```
data_CrCo2Ir
_chemical_formula_sum 'Cr2 Co4 Ir2'
_cell_length_a 5.111
_cell_length_b 7.179
_cell_length_c 2.612
_cell_angle_alpha 90.00
_cell_angle_beta 90.00
_cell_angle_gamma 90.00
_symmetry_space_group_name_H-M 'C m m m'
_symmetry_Int_Tables_number 65
_symmetry_space_group_name_Hall '-C 2 2'
loop_
_atom_site_label
_atom_site_type_symbol
_atom_site_fract_x
_atom_site_fract_y
_atom_site_fract_z
Cr1 Cr 0.000 0.000 0.000
Co1 Co 0.250 0.250 0.500
Ir1 Ir 0.000 0.500 0.000
```

Main lines, in order of falling intensity (2θ from 10° to 90°):
2θ/deg, d (Å), I/Imax, hkl
42.8, 2.112, 100.0, 0 2 1
43.5, 2.082, 95.6, 2 2 0
21.3, 4.164, 79.6, 1 1 0
49.9, 1.827, 63.0, 2 0 1
74.0, 1.280, 37.2, 2 4 1
40.8, 2.213, 32.0, 1 1 1
50.9, 1.795, 29.7, 0 4 0
88.3, 1.106, 23.9, 2 2 2
89.7, 1.093, 23.2, 4 2 1
24.8, 3.590, 21.7, 0 2 0